(1)
This entry pairs a crystal structure of BaCo2Sn8 with its computed XRD peak list. Radiation: CuKα. Structure: the GGA-PBE geometry in the Materials Project.
No peak broadening, texture or thermal motion is included.

Main lines, by intensity (10° ≤ 2θ ≤ 80°):
2θ (°)  I (rel.)  index
30.6  100.0  2 0 4
31.9  55.4  2 4 2
31.3  36.2  1 5 1
45.0  25.9  0 4 6
44.2  22.5  3 5 3
37.7  21.8  4 2 1
35.1  21.6  4 0 0
44.5  15.8  1 7 2
31.6  14.8  3 3 0
36.1  14.8  1 5 3

Structural model:
```
data_BaCo2Sn8
_cell_length_a 10.2239
_cell_length_b 15.2167
_cell_length_c 14.2586
_cell_angle_alpha 90.00
_cell_angle_beta 90.00
_cell_angle_gamma 90.00
_symmetry_space_group_name_H-M 'C c c m'
_symmetry_Int_Tables_number 66
_symmetry_space_group_name_Hall '-C 2 2c'
loop_
_atom_site_label
_atom_site_fract_x
_atom_site_fract_y
_atom_site_fract_z
Ba1 0.0516 0.1552 0.0000
Co1 0.0746 0.3535 0.3297
Sn1 0.0000 0.0000 0.2500
Sn2 0.0000 0.2060 0.2500
Sn3 0.0000 0.5000 0.2500
Sn4 0.0067 0.4020 0.5000
Sn5 0.1889 0.3481 0.1646
Sn6 0.2363 0.0418 0.3852
Sn7 0.2500 0.2500 0.3941
```

(2)
This entry pairs a crystal structure of Mg3As2O8 with its computed XRD peak list. Radiation: CuKα. Structure: the GGA-PBE geometry in the Materials Project.
No peak broadening, texture or thermal motion is included.

Main lines, by intensity (10° ≤ 2θ ≤ 80°):
2θ (°)  I (rel.)  index
32.1  100.0  0 0 4
28.8  88.9  1 1 -3
18.8  83.9  1 1 1
21.5  81.5  0 2 1
29.5  73.0  2 1 -1
30.3  70.0  2 1 1
31.2  59.7  0 3 1
25.6  52.2  1 2 1
22.6  50.3  1 1 -2
29.9  45.8  1 1 3

Structural model:
```
data_Mg3As2O8
_cell_length_a 6.6237
_cell_length_b 8.9091
_cell_length_c 11.1745
_cell_angle_alpha 90.00
_cell_angle_beta 92.88
_cell_angle_gamma 90.00
_symmetry_space_group_name_H-M 'P 1 21/c 1'
_symmetry_Int_Tables_number 14
_symmetry_space_group_name_Hall '-P 2ybc'
loop_
_atom_site_label
_atom_site_fract_x
_atom_site_fract_y
_atom_site_fract_z
Mg1 0.0905 0.2040 0.0725
Mg2 0.2411 0.6562 0.6366
Mg3 0.3820 0.0328 0.6167
As1 0.1051 0.0547 0.3533
As2 0.4100 0.6153 0.3661
O1 0.0427 0.2344 0.3928
O2 0.0774 0.0777 0.6193
O3 0.1325 0.0415 0.2012
O4 0.2067 0.6346 0.4570
O5 0.3270 0.5024 0.9273
O6 0.3307 0.6574 0.2199
O7 0.4006 0.2389 0.0887
O8 0.4773 0.0676 0.8538
```

(3)
This entry pairs a crystal structure of CsRbO with its computed XRD peak list. Radiation: CuKα. Structure: the GGA-PBE geometry in the Materials Project.
No peak broadening, texture or thermal motion is included.

Main lines, by intensity (10° ≤ 2θ ≤ 80°):
2θ (°)  I (rel.)  index
28.1  100.0  1 1 2
35.6  21.9  0 2 0
36.1  19.4  0 0 4
26.5  17.3  2 0 1
30.6  17.2  2 1 0
51.6  13.5  0 2 4
23.4  12.8  1 1 1
59.5  11.8  1 3 2
42.9  11.3  3 1 1
60.1  11.1  1 1 6

Structural model:
```
data_CsRbO
_cell_length_a 7.1541
_cell_length_b 5.0401
_cell_length_c 9.9529
_cell_angle_alpha 90.00
_cell_angle_beta 90.00
_cell_angle_gamma 90.00
_symmetry_space_group_name_H-M 'P n m a'
_symmetry_Int_Tables_number 62
_symmetry_space_group_name_Hall '-P 2ac 2n'
loop_
_atom_site_label
_atom_site_fract_x
_atom_site_fract_y
_atom_site_fract_z
Cs1 0.1095 0.2500 0.1165
Rb1 0.0132 0.7500 0.3745
O1 0.2154 0.2500 0.4065
```

(4)
This entry pairs a crystal structure of Ta6CrC3S6 with its computed XRD peak list. Radiation: CuKα. Structure: the GGA-PBE geometry in the Materials Project.
No peak broadening, texture or thermal motion is included.

Main lines, by intensity (10° ≤ 2θ ≤ 80°):
2θ (°)  I (rel.)  index
10.3  100.0  0 0 1
42.2  52.4  2 0 2
31.4  48.3  1 3 0
35.9  41.2  2 0 1
34.2  35.5  1 3 1
39.9  25.3  2 0 -3
55.5  23.6  0 6 0
56.6  16.7  1 3 4
72.2  13.0  2 6 2
65.1  11.7  2 6 -1

Structural model:
```
data_Ta6CrC3S6
_cell_length_a 5.7310
_cell_length_b 9.9365
_cell_length_c 8.7778
_cell_angle_alpha 90.00
_cell_angle_beta 102.55
_cell_angle_gamma 90.00
_symmetry_space_group_name_H-M 'C 1 2/m 1'
_symmetry_Int_Tables_number 12
_symmetry_space_group_name_Hall '-C 2y'
loop_
_atom_site_label
_atom_site_fract_x
_atom_site_fract_y
_atom_site_fract_z
Ta1 0.1216 0.1665 0.3651
Ta2 0.1229 0.5000 0.3691
Cr1 0.0000 0.5000 0.0000
C1 0.0000 0.0000 0.5000
C2 0.0000 0.3311 0.5000
S1 0.2224 0.0000 0.1710
S2 0.2250 0.3326 0.1724
```

(5)
This entry pairs a crystal structure of Ni2Sn4Au with its computed XRD peak list. Radiation: CuKα. Structure: the GGA-PBE geometry in the Materials Project.
No peak broadening, texture or thermal motion is included.

Main lines, by intensity (10° ≤ 2θ ≤ 80°):
2θ (°)  I (rel.)  index
29.2  100.0  0 1 5
42.2  86.6  1 1 0
41.4  78.6  1 0 10
76.6  26.5  2 1 10
60.6  25.7  0 2 10
52.2  21.2  2 0 5
24.2  20.8  1 0 1
69.3  19.1  1 2 5
77.2  15.2  3 0 0
44.3  13.1  0 1 11

Structural model:
```
data_Ni2Sn4Au
_cell_length_a 4.2804
_cell_length_b 4.2804
_cell_length_c 27.0025
_cell_angle_alpha 90.00
_cell_angle_beta 90.00
_cell_angle_gamma 120.00
_symmetry_space_group_name_H-M 'R -3 m'
_symmetry_Int_Tables_number 166
_symmetry_space_group_name_Hall '-R 3 2"'
loop_
_atom_site_label
_atom_site_fract_x
_atom_site_fract_y
_atom_site_fract_z
Ni1 0.0000 0.0000 0.0994
Sn1 0.0000 0.0000 0.2003
Sn2 0.0000 0.0000 0.3886
Au1 0.0000 0.0000 0.0000
```

(6)
This entry pairs a crystal structure of TiCl3 with its computed XRD peak list. Radiation: CuKα. Structure: the GGA-PBE geometry in the Materials Project.
No peak broadening, texture or thermal motion is included.

Main lines, by intensity (10° ≤ 2θ ≤ 80°):
2θ (°)  I (rel.)  index
32.5  100.0  2 -1 3
13.9  68.3  0 0 3
41.0  53.5  2 -1 6
51.9  26.4  3 0 0
52.6  26.2  1 1 9
17.4  16.6  1 0 1
62.6  11.1  2 2 3
19.2  11.0  1 0 2
68.2  9.5  2 2 6
16.8  9.5  1 0 0

Structural model:
```
data_TiCl3
_cell_length_a 6.1058
_cell_length_b 6.1058
_cell_length_c 19.0570
_cell_angle_alpha 90.00
_cell_angle_beta 90.00
_cell_angle_gamma 120.00
_symmetry_space_group_name_H-M 'P 3 1 2'
_symmetry_Int_Tables_number 149
_symmetry_space_group_name_Hall 'P 3 2'
loop_
_atom_site_label
_atom_site_fract_x
_atom_site_fract_y
_atom_site_fract_z
Ti1 0.0000 0.0000 0.0000
Ti2 0.0000 0.0000 0.3345
Ti3 0.3333 0.6667 0.0000
Ti4 0.6667 0.3333 0.3345
Cl1 0.0196 0.3333 0.0739
Cl2 0.3333 0.0186 0.4082
Cl3 0.3334 0.0196 0.7393
```

Question: Number 5 is which compound?
Answer: Ni2Sn4Au